Computed PXRD pattern of Th2As7Pd12 for CuKα, from DFT lattice parameters and positions (PBE).
Lines closer than 0.1° are merged.

The 8 most intense peaks (2θ = 10–90°), in order of rising 2θ:
2theta  d [Å]  Rel. int.  hkl
34.58  2.594  100.0  3 -1 1
35.61  2.521  8.8  2 2 0
43.14  2.097  29.9  0 0 2
47.71  1.906  20.8  4 1 0
50.48  1.808  8.5  5 -2 1
57.13  1.612  8.3  0 5 1
66.28  1.410  12.2  5 -4 2
73.60  1.287  10.2  3 -1 3

Atomic structure:
```
data_Th2As7Pd12
_space_group_name_H-M_alt 'P -3'
_space_group_IT_number 147
_cell_length_a 10.0858
_cell_length_b 10.0858
_cell_length_c 4.1925
_cell_angle_alpha 90.00
_cell_angle_beta 90.00
_cell_angle_gamma 120.00
loop_
_space_group_symop_operation_xyz
'x,y,z'
'-x,-y,-z'
'-y,x-y,z'
'y,-x+y,-z'
'-x+y,-x,z'
'x-y,x,-z'
loop_
_atom_site_label
_atom_site_fract_x
_atom_site_fract_y
_atom_site_fract_z
Th1 0.3333 0.6667 0.2452
As1 0.0000 0.0000 0.5000
As2 0.1146 0.4060 0.7412
Pd1 0.0609 0.6201 0.7479
Pd2 0.1156 0.8609 0.2239
```